Entry 1:
Structure and simulated XRD peak list of BaMg6V (a cell relaxed with PBE; a wavelength of 1.5418 Å).

Structural model:
a = 5.2832 Å, b = 6.7725 Å, c = 11.6880 Å
α = 90.00°, β = 90.00°, γ = 90.00°
Space group Amm2 (No. 38)
Unique sites:
Ba: 0.0000 0.0000 0.0000 (multiplicity 2)
Mg: 0.0000 0.2457 0.7475 (multiplicity 4)
Mg: 0.5000 0.0000 0.3417 (multiplicity 2)
Mg: 0.5000 0.0000 0.8196 (multiplicity 2)
Mg: 0.5000 0.2211 0.5847 (multiplicity 4)
V: 0.0000 0.0000 0.5040 (multiplicity 2)

Most intense lines, 2θ = 15–90°, sorted by position:
| 2θ/deg | I_rel | index |
| --- | --- | --- |
| 15.1 | 38 | 0 0 2 |
| 16.8 | 20 | 1 0 0 |
| 22.7 | 40 | 1 0 2 |
| 30.5 | 34 | 0 0 4 |
| 33.9 | 24 | 2 0 0 |
| 35.0 | 100 | 1 2 2 |
| 46.3 | 21 | 2 0 4 |
| 61.4 | 18 | 3 2 2 |


Entry 2:
Structure and simulated XRD peak list of BaMg14V (a cell relaxed with PBE; a wavelength of 1.5418 Å).

Structural model:
a = 10.5916 Å, b = 6.4794 Å, c = 11.4447 Å
α = 90.00°, β = 90.00°, γ = 90.00°
Space group Amm2 (No. 38)
Unique sites:
Ba: 0.0000 0.0000 0.0000 (multiplicity 2)
Mg: 0.0000 0.2439 0.2490 (multiplicity 4)
Mg: 0.2351 0.0000 0.6493 (multiplicity 4)
Mg: 0.2610 0.2405 0.4029 (multiplicity 8)
Mg: 0.2713 0.0000 0.1602 (multiplicity 4)
Mg: 0.5000 0.0000 0.4928 (multiplicity 2)
Mg: 0.5000 0.0000 0.9885 (multiplicity 2)
Mg: 0.5000 0.2435 0.7403 (multiplicity 4)
V: 0.0000 0.0000 0.4811 (multiplicity 2)

Most intense lines, 2θ = 15–90°, sorted by position:
| 2θ/deg | I_rel | index |
| --- | --- | --- |
| 17.6 | 23 | 1 0 2 |
| 31.7 | 33 | 0 2 2 |
| 33.9 | 40 | 4 0 0 |
| 35.7 | 58 | 2 0 4 |
| 36.1 | 100 | 2 2 2 |
| 47.1 | 21 | 4 2 2 |
| 62.0 | 19 | 6 2 2 |
| 67.0 | 20 | 4 2 6 |


Entry 3:
Structure and simulated XRD peak list of BaYMg14 (a cell relaxed with PBE; a wavelength of 1.5418 Å).

Structural model:
a = 6.7529 Å, b = 6.7529 Å, c = 10.5096 Å
α = 90.00°, β = 90.00°, γ = 120.00°
Space group P-6m2 (No. 187)
Unique sites:
Ba: 0.0000 0.0000 0.0000 (multiplicity 1)
Y: 0.0000 0.0000 0.5000 (multiplicity 1)
Mg: 0.0054 0.5027 0.5000 (multiplicity 3)
Mg: 0.0118 0.5059 0.0000 (multiplicity 3)
Mg: 0.1751 0.3502 0.2577 (multiplicity 6)
Mg: 0.6667 0.3333 0.2478 (multiplicity 2)

Most intense lines, 2θ = 15–90°, sorted by position:
| 2θ/deg | I_rel | index |
| --- | --- | --- |
| 15.1 | 39 | 1 0 0 |
| 22.8 | 38 | 1 0 2 |
| 30.6 | 30 | 2 0 0 |
| 34.1 | 23 | 0 0 4 |
| 35.1 | 100 | 2 0 2 |
| 46.5 | 18 | 2 0 4 |
| 61.7 | 18 | 2 0 6 |
| 65.7 | 19 | 2 2 4 |


Entry 4:
Structure and simulated XRD peak list of BaYMg14 (a cell relaxed with PBE; a wavelength of 1.5418 Å).

Structural model:
a = 10.6540 Å, b = 6.6785 Å, c = 11.5766 Å
α = 90.00°, β = 90.00°, γ = 90.00°
Space group Amm2 (No. 38)
Unique sites:
Ba: 0.0000 0.0000 0.0000 (multiplicity 2)
Y: 0.0000 0.0000 0.4938 (multiplicity 2)
Mg: 0.0000 0.2498 0.2510 (multiplicity 4)
Mg: 0.2509 0.0000 0.6680 (multiplicity 4)
Mg: 0.2622 0.0000 0.1742 (multiplicity 4)
Mg: 0.2658 0.2420 0.4137 (multiplicity 8)
Mg: 0.5000 0.0000 0.0004 (multiplicity 2)
Mg: 0.5000 0.0000 0.5016 (multiplicity 2)
Mg: 0.5000 0.2484 0.7495 (multiplicity 4)

Most intense lines, 2θ = 15–90°, sorted by position:
| 2θ/deg | I_rel | index |
| --- | --- | --- |
| 17.4 | 23 | 1 0 2 |
| 30.9 | 30 | 0 0 4 |
| 33.6 | 24 | 4 0 0 |
| 35.3 | 100 | 2 2 2 |
| 46.3 | 19 | 4 0 4 |
| 55.0 | 17 | 0 4 0 |
| 61.3 | 20 | 6 2 2 |
| 66.0 | 19 | 4 4 0 |


Entry 5:
Structure and simulated XRD peak list of Ba3Mn3N5 (a cell relaxed with PBE; a wavelength of 1.5418 Å).

Structural model:
a = 5.9343 Å, b = 7.4746 Å, c = 8.9972 Å
α = 108.22°, β = 104.01°, γ = 95.48°
Space group P-1 (No. 2)
Unique sites:
Ba: 0.1530 0.3637 0.3783 (multiplicity 2)
Ba: 0.1551 0.1807 0.7154 (multiplicity 2)
Ba: 0.3085 0.9212 0.1103 (multiplicity 2)
Mn: 0.1794 0.4714 0.0786 (multiplicity 2)
Mn: 0.4149 0.8238 0.4733 (multiplicity 2)
Mn: 0.4265 0.6095 0.7895 (multiplicity 2)
N: 0.1330 0.5474 0.8949 (multiplicity 2)
N: 0.2808 0.0272 0.4306 (multiplicity 2)
N: 0.2862 0.2460 0.0409 (multiplicity 2)
N: 0.3533 0.7243 0.6233 (multiplicity 2)
N: 0.4107 0.6244 0.2803 (multiplicity 2)

Most intense lines, 2θ = 15–90°, sorted by position:
| 2θ/deg | I_rel | index |
| --- | --- | --- |
| 28.6 | 44 | 1 -1 2 |
| 30.8 | 47 | 1 2 -2 |
| 31.2 | 60 | 0 2 1 |
| 31.9 | 16 | 2 -1 0 |
| 32.1 | 100 | 1 0 -3 |
| 36.4 | 26 | 2 1 0 |
| 37.9 | 14 | 1 -1 3 |
| 38.0 | 16 | 1 -3 1 |


Entry 6:
Structure and simulated XRD peak list of Ba3Mn2N4 (a cell relaxed with PBE; a wavelength of 1.5418 Å).

Structural model:
a = 12.4685 Å, b = 8.9169 Å, c = 5.7023 Å
α = 90.00°, β = 92.74°, γ = 90.00°
Space group C2/c (No. 15)
Unique sites:
Ba: 0.0000 0.0956 0.2500 (multiplicity 4)
Ba: 0.1291 0.3668 0.5572 (multiplicity 8)
Mn: 0.2140 0.1245 0.9378 (multiplicity 8)
N: 0.1442 0.3026 0.0376 (multiplicity 8)
N: 0.1903 0.0395 0.6383 (multiplicity 8)

Most intense lines, 2θ = 15–90°, sorted by position:
| 2θ/deg | I_rel | index |
| --- | --- | --- |
| 23.6 | 28 | 3 1 0 |
| 27.8 | 59 | 3 1 -1 |
| 29.6 | 100 | 2 2 1 |
| 33.5 | 37 | 1 1 -2 |
| 35.3 | 25 | 2 0 2 |
| 37.5 | 30 | 5 1 0 |
| 40.1 | 30 | 3 3 -1 |
| 40.5 | 22 | 0 4 0 |


Entry 7:
Structure and simulated XRD peak list of Ba3MnN3 (a cell relaxed with PBE; a wavelength of 1.5418 Å).

Structural model:
a = 8.2868 Å, b = 8.2868 Å, c = 5.5342 Å
α = 90.00°, β = 90.00°, γ = 120.00°
Space group P6_3/m (No. 176)
Unique sites:
Ba: 0.0816 0.3633 0.2500 (multiplicity 6)
Mn: 0.3333 0.6667 0.7500 (multiplicity 2)
N: 0.1338 0.4507 0.7500 (multiplicity 6)

Most intense lines, 2θ = 15–90°, sorted by position:
| 2θ/deg | I_rel | index |
| --- | --- | --- |
| 26.9 | 100 | 1 1 1 |
| 29.7 | 64 | 2 0 1 |
| 32.4 | 39 | 0 0 2 |
| 33.0 | 47 | 1 2 0 |
| 37.6 | 18 | 3 0 0 |
| 46.9 | 42 | 1 2 2 |
| 48.6 | 19 | 3 1 1 |
| 58.5 | 22 | 2 3 1 |


Entry 8:
Structure and simulated XRD peak list of BaMnN2 (a cell relaxed with PBE; a wavelength of 1.5418 Å).

Structural model:
a = 5.8133 Å, b = 11.4665 Å, c = 7.7947 Å
α = 90.00°, β = 90.00°, γ = 90.00°
Space group Cmce (No. 64)
Unique sites:
Ba: 0.0000 0.1565 0.0597 (multiplicity 8)
Mn: 0.0000 0.0497 0.6338 (multiplicity 8)
N: 0.0000 0.1104 0.4151 (multiplicity 8)
N: 0.2500 0.0852 0.7500 (multiplicity 8)

Most intense lines, 2θ = 15–90°, sorted by position:
| 2θ/deg | I_rel | index |
| --- | --- | --- |
| 22.8 | 18 | 0 0 2 |
| 28.7 | 44 | 1 1 2 |
| 30.2 | 100 | 1 3 1 |
| 30.8 | 45 | 2 0 0 |
| 38.0 | 19 | 0 2 3 |
| 38.6 | 16 | 2 0 2 |
| 38.8 | 15 | 1 1 3 |
| 54.4 | 19 | 3 3 1 |